For Ac3CoAg4O8, a cell relaxed with PBE+U gives the calculated powder XRD pattern in this record (Cu Kα, 1.54184 Å).
Lines closer than 0.1° are merged.

Crystal structure
```
Ac3CoAg4O8
1.0
6.3344 -3.5648 0.0000
6.3344 3.5648 0.0000
-2.7414 0.0000 6.0065
Ac Co Ag O
3 1 4 8
Direct
0.0000 0.0000 0.0000
0.0000 0.5000 0.5000
0.5000 0.0000 0.5000
0.5000 0.5000 0.0000
0.0000 0.0000 0.5000
0.0000 0.5000 0.0000
0.5000 0.0000 0.0000
0.5000 0.5000 0.5000
0.1807 0.1807 0.6780
0.2191 0.2191 0.2085
0.2713 0.6422 0.7783
0.3578 0.7287 0.2217
0.6422 0.2713 0.7783
0.7287 0.3578 0.2217
0.7809 0.7809 0.7915
0.8193 0.8193 0.3220
```

Largest 8 diffraction maxima, by angle, 10° ≤ 2θ ≤ 80°:
2θ/deg  d (Å)  I (rel.)
29.5  3.032  1000
29.7  3.003  469
31.0  2.881  564
33.0  2.718  396
37.3  2.413  741
47.0  1.933  357
51.4  1.777  252
54.2  1.691  231